CdAg2SbSe4: simulated XRD peak list (λ = 1.5418 Å (Cu Kα)), based on the GGA-PBE geometry in Alexandria.

Most intense lines, 2θ = 10–80°, in order of rising 2θ:
2θ (°)  I_rel  (hkl)
24.94  100  1 1 2
41.29  74  2 2 0
48.75  16  1 1 6
48.89  31  3 1 2
59.66  4  0 0 8
59.90  8  4 0 0
65.79  12  3 1 6
65.90  6  3 3 2
75.17  8  2 2 8
75.33  16  4 2 4

```
data_CdAg2SbSe4
_space_group_name_H-M_alt 'I -4 2 m'
_space_group_IT_number 121
_space_group_name_Hall 'I -4 2'
_cell_length_a 6.177
_cell_length_b 6.177
_cell_length_c 12.399
_cell_angle_alpha 90.00
_cell_angle_beta 90.00
_cell_angle_gamma 90.00
loop_
_atom_site_label
_atom_site_type_symbol
_atom_site_fract_x
_atom_site_fract_y
_atom_site_fract_z
Cd1 Cd 0.000 0.000 0.000
Ag1 Ag 0.000 0.500 0.250
Sb1 Sb 0.000 0.000 0.500
Se1 Se 0.248 0.248 0.628
```

***

Ta3Hg: simulated XRD peak list (λ = 1.5418 Å (Cu Kα)), based on the GGA-PBE geometry in Alexandria.

Most intense lines, 2θ = 10–80°, in order of rising 2θ:
2θ (°)  I_rel  (hkl)
34.85  27  0 2 1
36.69  43  2 0 0
39.18  55  1 0 2
39.54  100  1 2 1
51.50  18  2 2 1
61.97  17  0 2 3
67.73  11  3 0 2
67.98  22  3 2 1
74.23  20  2 2 3
76.52  16  1 4 2

```
data_Ta3Hg
_space_group_name_H-M_alt 'P m m n'
_space_group_IT_number 59
_cell_length_a 4.899
_cell_length_b 5.923
_cell_length_c 5.207
_cell_angle_alpha 90.00
_cell_angle_beta 90.00
_cell_angle_gamma 90.00
loop_
_space_group_symop_operation_xyz
'x,y,z'
'-x,-y,-z'
'-x+1/2,-y+1/2,z'
'x+1/2,y+1/2,-z'
'x+1/2,-y,-z'
'-x+1/2,y,z'
'-x,y+1/2,-z'
'x,-y+1/2,z'
loop_
_atom_site_label
_atom_site_type_symbol
_atom_site_fract_x
_atom_site_fract_y
_atom_site_fract_z
Ta1 Ta 0.250 0.001 0.153
Ta2 Ta 0.250 0.250 0.691
Hg1 Hg 0.250 0.750 0.650
```